No. 1
Diffraction record for Sm2Ga5Ag5. The powder X-ray diffraction pattern is simulated, not measured: it uses a DFT-relaxed cell (GGA-PBE, Alexandria) and Cu Kα X-rays.
Lines closer than 0.1° are merged.

Largest 12 diffraction maxima, most intense first, 2θ = 10–80°:
| 2θ (°) | d (Å) | intensity |
| --- | --- | --- |
| 38.1 | 2.364 | 100 |
| 27.4 | 3.251 | 79 |
| 37.9 | 2.376 | 61 |
| 36.7 | 2.448 | 56 |
| 41.4 | 2.180 | 49 |
| 56.5 | 1.628 | 31 |
| 42.3 | 2.135 | 28 |
| 37.0 | 2.430 | 28 |
| 60.6 | 1.529 | 25 |
| 66.5 | 1.407 | 23 |
| 31.8 | 2.813 | 22 |
| 56.7 | 1.622 | 17 |

Cell: 4.359 5.668 9.721 Å, 90.00 90.00 90.00°
Sites, in units of the cell vectors:
Sm 0.000 0.000 0.000
Sm 0.000 0.500 0.500
Ga 0.000 0.000 0.330
Ga 0.000 0.000 0.670
Ga 0.000 0.500 0.166
Ga 0.000 0.500 0.834
Ga 0.500 0.000 0.500
Ag 0.500 0.251 0.256
Ag 0.500 0.251 0.744
Ag 0.500 0.500 0.000
Ag 0.500 0.749 0.256
Ag 0.500 0.749 0.744

***

No. 2
Diffraction record for Sm4Ga7Ag5. The powder X-ray diffraction pattern is simulated, not measured: it uses a DFT-relaxed cell (GGA-PBE, Alexandria) and Cu Kα X-rays.
Lines closer than 0.1° are merged.

Largest 12 diffraction maxima, most intense first, 2θ = 10–80°:
| 2θ (°) | d (Å) | intensity |
| --- | --- | --- |
| 33.4 | 2.684 | 100 |
| 35.4 | 2.538 | 55 |
| 35.2 | 2.546 | 53 |
| 40.7 | 2.219 | 52 |
| 41.9 | 2.155 | 25 |
| 29.3 | 3.043 | 19 |
| 36.9 | 2.433 | 15 |
| 69.4 | 1.354 | 15 |
| 70.5 | 1.335 | 14 |
| 37.1 | 2.424 | 13 |
| 57.5 | 1.602 | 12 |
| 36.7 | 2.452 | 12 |

Cell: 7.126 4.438 10.333 Å, 90.00 90.34 90.00°
Sites, in units of the cell vectors:
Sm 0.000 0.000 0.000
Sm 0.072 0.500 0.500
Sm 0.493 0.000 0.841
Sm 0.566 0.500 0.342
Ga 0.079 0.000 0.706
Ga 0.200 0.500 0.823
Ga 0.367 0.000 0.519
Ga 0.485 0.500 0.636
Ga 0.583 0.000 0.135
Ga 0.705 0.500 0.018
Ga 0.863 0.000 0.325
Ag 0.245 0.000 0.268
Ag 0.329 0.500 0.071
Ag 0.743 0.000 0.575
Ag 0.821 0.500 0.767
Ag 0.982 0.500 0.210

***

No. 3
Diffraction record for Sm2Ga6Ag3. The powder X-ray diffraction pattern is simulated, not measured: it uses a DFT-relaxed cell (GGA-PBE, Alexandria) and Cu Kα X-rays.
Lines closer than 0.1° are merged.

Largest 12 diffraction maxima, most intense first, 2θ = 10–80°:
| 2θ (°) | d (Å) | intensity |
| --- | --- | --- |
| 32.8 | 2.734 | 100 |
| 46.1 | 1.969 | 41 |
| 33.4 | 2.682 | 33 |
| 42.4 | 2.132 | 31 |
| 35.4 | 2.535 | 29 |
| 36.2 | 2.478 | 27 |
| 53.0 | 1.729 | 22 |
| 23.4 | 3.802 | 14 |
| 59.5 | 1.555 | 13 |
| 57.0 | 1.617 | 12 |
| 46.4 | 1.958 | 12 |
| 30.2 | 2.956 | 11 |

Cell: 7.720 7.720 3.936 Å, 90.00 90.00 99.98°
Sites, in units of the cell vectors:
Sm 0.202 0.798 0.000
Sm 0.798 0.202 0.000
Ga 0.119 0.119 0.500
Ga 0.146 0.461 0.500
Ga 0.461 0.146 0.500
Ga 0.539 0.854 0.500
Ga 0.854 0.539 0.500
Ga 0.881 0.881 0.500
Ag 0.293 0.293 0.000
Ag 0.500 0.500 0.500
Ag 0.707 0.707 0.000

***

No. 4
Diffraction record for SmGa2Ag3. The powder X-ray diffraction pattern is simulated, not measured: it uses a DFT-relaxed cell (GGA-PBE, Alexandria) and Cu Kα X-rays.
Lines closer than 0.1° are merged.

Largest 12 diffraction maxima, most intense first, 2θ = 10–80°:
| 2θ (°) | d (Å) | intensity |
| --- | --- | --- |
| 35.9 | 2.501 | 100 |
| 34.6 | 2.592 | 55 |
| 40.7 | 2.216 | 45 |
| 41.6 | 2.169 | 43 |
| 38.8 | 2.324 | 33 |
| 67.6 | 1.385 | 30 |
| 30.8 | 2.902 | 29 |
| 34.1 | 2.630 | 22 |
| 57.5 | 1.604 | 20 |
| 54.1 | 1.695 | 15 |
| 34.3 | 2.615 | 15 |
| 26.3 | 3.387 | 14 |

Cell: 8.333 8.333 8.333 Å, 149.15 122.74 66.47°
Sites, in units of the cell vectors:
Sm 0.135 0.135 0.000
Sm 0.865 0.865 0.000
Ga 0.156 0.500 0.656
Ga 0.308 0.808 0.500
Ga 0.692 0.192 0.500
Ga 0.844 0.500 0.344
Ag 0.133 0.329 0.804
Ag 0.330 0.000 0.330
Ag 0.474 0.671 0.804
Ag 0.526 0.329 0.196
Ag 0.670 0.000 0.670
Ag 0.867 0.671 0.196

***

No. 5
Diffraction record for Ga2Ag5Sn. The powder X-ray diffraction pattern is simulated, not measured: it uses a DFT-relaxed cell (GGA-PBE, Alexandria) and Cu Kα X-rays.
Lines closer than 0.1° are merged.

Largest 12 diffraction maxima, most intense first, 2θ = 10–80°:
| 2θ (°) | d (Å) | intensity |
| --- | --- | --- |
| 38.0 | 2.371 | 100 |
| 36.8 | 2.443 | 95 |
| 38.2 | 2.355 | 51 |
| 40.7 | 2.219 | 39 |
| 57.0 | 1.615 | 27 |
| 74.3 | 1.277 | 26 |
| 69.7 | 1.350 | 18 |
| 50.6 | 1.803 | 15 |
| 61.1 | 1.516 | 12 |
| 76.0 | 1.252 | 12 |
| 66.8 | 1.400 | 12 |
| 72.2 | 1.309 | 12 |

Cell: 7.311 7.311 7.311 Å, 156.07 105.24 79.81°
Sites, in units of the cell vectors:
Ga 0.244 0.244 0.000
Ga 0.756 0.756 0.000
Ag 0.000 0.000 0.000
Ag 0.098 0.366 0.732
Ag 0.366 0.634 0.732
Ag 0.634 0.366 0.268
Ag 0.902 0.634 0.268
Sn 0.500 0.000 0.500

***

No. 6
Diffraction record for GaAg6Sn2. The powder X-ray diffraction pattern is simulated, not measured: it uses a DFT-relaxed cell (GGA-PBE, Alexandria) and Cu Kα X-rays.
Lines closer than 0.1° are merged.

Largest 12 diffraction maxima, most intense first, 2θ = 10–80°:
| 2θ (°) | d (Å) | intensity |
| --- | --- | --- |
| 37.1 | 2.421 | 100 |
| 38.8 | 2.322 | 93 |
| 39.3 | 2.295 | 86 |
| 67.7 | 1.383 | 27 |
| 71.9 | 1.313 | 23 |
| 68.7 | 1.367 | 22 |
| 40.0 | 2.257 | 19 |
| 40.9 | 2.207 | 17 |
| 38.4 | 2.342 | 17 |
| 52.8 | 1.734 | 13 |
| 54.3 | 1.690 | 13 |
| 59.1 | 1.563 | 12 |

Cell: 7.109 6.935 9.964 Å, 90.00 131.77 90.00°
Sites, in units of the cell vectors:
Ga 0.000 0.000 0.000
Ga 0.000 0.500 0.500
Ag 0.041 0.152 0.296
Ag 0.041 0.348 0.796
Ag 0.183 0.650 0.034
Ag 0.183 0.850 0.534
Ag 0.416 0.631 0.859
Ag 0.416 0.869 0.359
Ag 0.584 0.131 0.641
Ag 0.584 0.369 0.141
Ag 0.817 0.150 0.466
Ag 0.817 0.350 0.966
Ag 0.959 0.652 0.204
Ag 0.959 0.848 0.704
Sn 0.386 0.108 0.825
Sn 0.386 0.392 0.325
Sn 0.614 0.608 0.675
Sn 0.614 0.892 0.175